For TiGaS2, a crystal structure in Alexandria, relaxed with GGA-PBE gives the theoretical PXRD pattern in this record (Cu Kα, 1.54184 Å).

Principal peaks in the range 5 to 70 degrees two-theta, in order of rising 2θ:
2theta  I_rel
26.33  1000
27.98  101
32.59  108
39.99  223
45.42  350
48.52  304
54.20  45
57.73  98
57.84  58
64.63  57

Cell and atoms:
```
TiGaS2
1.0
-3.1884 3.1884 5.1229
3.1884 -3.1884 5.1229
3.1884 3.1884 -5.1229
Ti Ga S
2 2 4
Direct
0.0000 0.0000 0.0000
0.7500 0.2500 0.5000
0.2500 0.7500 0.5000
0.5000 0.5000 0.0000
0.0530 0.6250 0.9280
0.3750 0.3030 0.4280
0.6970 0.1250 0.0720
0.8750 0.9470 0.5720
```